Calculated powder diffractogram of DyGeTe3Au for Cu Kα (weighted mean of Kα1 and Kα2), from a cell relaxed with GGA-PBE.
Kinematic intensities with the Lorentz-polarization factor, no thermal factor.

Crystal structure
Cell: 13.302 4.428 12.161 Å, 90.00 90.00 90.00°
Element x y z (fractional)
Dy (0.032, 0.250, 0.200)
Dy (0.468, 0.750, 0.700)
Dy (0.532, 0.250, 0.300)
Dy (0.968, 0.750, 0.800)
Ge (0.232, 0.750, 0.893)
Ge (0.268, 0.250, 0.393)
Ge (0.732, 0.750, 0.607)
Ge (0.768, 0.250, 0.107)
Te (0.054, 0.750, 0.370)
Te (0.094, 0.250, 0.945)
Te (0.182, 0.750, 0.669)
Te (0.318, 0.250, 0.169)
Te (0.406, 0.750, 0.445)
Te (0.446, 0.250, 0.870)
Te (0.554, 0.750, 0.130)
Te (0.594, 0.250, 0.555)
Te (0.682, 0.750, 0.831)
Te (0.818, 0.250, 0.331)
Te (0.906, 0.750, 0.055)
Te (0.946, 0.250, 0.630)
Au (0.206, 0.750, 0.224)
Au (0.294, 0.250, 0.724)
Au (0.706, 0.750, 0.276)
Au (0.794, 0.250, 0.776)

Largest 12 diffraction maxima, by intensity, 2θ = 10–80°:
Position (°2θ)	d_spacing	intensity
32.84	2.727	1000
14.57	6.080	810
29.44	3.034	622
40.76	2.214	557
41.39	2.182	523
32.14	2.785	521
33.71	2.659	494
30.15	2.964	453
36.89	2.436	326
28.32	3.152	310
25.75	3.460	298
57.45	1.604	225

Calculated powder diffractogram of DyZrHg2Au4 for Cu Kα (weighted mean of Kα1 and Kα2), from a cell relaxed with GGA-PBE.
Kinematic intensities with the Lorentz-polarization factor, no thermal factor.

Crystal structure
Cell: 4.867 4.867 6.843 Å, 90.00 90.00 90.00°
Element x y z (fractional)
Dy (0.000, 0.000, 0.000)
Zr (0.500, 0.500, 0.500)
Hg (0.000, 0.000, 0.500)
Hg (0.500, 0.500, 0.000)
Au (0.000, 0.500, 0.260)
Au (0.000, 0.500, 0.740)
Au (0.500, 0.000, 0.260)
Au (0.500, 0.000, 0.740)

Largest 12 diffraction maxima, by intensity, 2θ = 10–80°:
Position (°2θ)	d_spacing	intensity
37.05	2.426	1000
36.93	2.434	509
66.62	1.404	366
53.23	1.721	180
66.85	1.400	176
78.90	1.213	113
53.57	1.711	85
78.62	1.217	59
22.42	3.966	35
43.63	2.074	14
29.04	3.075	12
25.89	3.442	11

Calculated powder diffractogram of DyHo2In3Pt2Au for Cu Kα (weighted mean of Kα1 and Kα2), from a cell relaxed with GGA-PBE.
Kinematic intensities with the Lorentz-polarization factor, no thermal factor.

Crystal structure
Cell: 3.786 7.784 7.784 Å, 120.05 90.00 90.00°
Element x y z (fractional)
Dy (0.000, 0.000, 0.000)
Ho (0.000, 0.185, 0.592)
Ho (0.000, 0.592, 0.185)
In (0.500, 0.323, 0.323)
In (0.500, 0.592, 0.862)
In (0.500, 0.862, 0.592)
Pt (0.500, 0.260, 0.926)
Pt (0.500, 0.926, 0.260)
Au (0.000, 0.592, 0.592)

Largest 12 diffraction maxima, by intensity, 2θ = 10–80°:
Position (°2θ)	d_spacing	intensity
35.67	2.517	1000
33.01	2.714	798
40.14	2.246	576
65.18	1.431	372
42.79	2.113	363
35.23	2.547	311
64.35	1.448	288
48.06	1.893	231
74.76	1.270	148
22.86	3.891	139
60.98	1.519	125
27.01	3.301	119

Calculated powder diffractogram of DyInAu for Cu Kα (weighted mean of Kα1 and Kα2), from a cell relaxed with GGA-PBE.
Kinematic intensities with the Lorentz-polarization factor, no thermal factor.

Crystal structure
Cell: 7.696 7.696 4.058 Å, 90.00 90.00 120.00°
Element x y z (fractional)
Dy (0.000, 0.592, 0.000)
Dy (0.408, 0.408, 0.000)
Dy (0.592, 0.000, 0.000)
In (0.000, 0.259, 0.500)
In (0.259, 0.000, 0.500)
In (0.741, 0.741, 0.500)
Au (0.000, 0.000, 0.000)
Au (0.333, 0.667, 0.500)
Au (0.667, 0.333, 0.500)

Largest 12 diffraction maxima, by intensity, 2θ = 10–80°:
Position (°2θ)	d_spacing	intensity
34.84	2.575	1000
32.05	2.792	769
40.61	2.222	474
42.22	2.140	383
65.20	1.431	336
35.64	2.519	310
61.94	1.498	274
44.66	2.029	264
23.11	3.848	155
58.40	1.580	146
74.99	1.266	114
25.70	3.466	111

Calculated powder diffractogram of DyInAu2 for Cu Kα (weighted mean of Kα1 and Kα2), from a cell relaxed with GGA-PBE.
Kinematic intensities with the Lorentz-polarization factor, no thermal factor.

Crystal structure
Cell: 4.548 5.624 5.624 Å, 39.24 90.00 90.00°
Element x y z (fractional)
Dy (0.000, 0.000, 0.000)
In (0.500, 0.284, 0.284)
Au (0.000, 0.725, 0.725)
Au (0.500, 0.555, 0.555)

Largest 12 diffraction maxima, by intensity, 2θ = 10–80°:
Position (°2θ)	d_spacing	intensity
31.94	2.802	1000
40.19	2.244	848
39.64	2.274	364
39.37	2.289	329
33.84	2.649	266
48.19	1.888	208
64.10	1.453	177
63.91	1.457	163
72.29	1.307	153
53.08	1.725	149
25.03	3.558	147
67.12	1.395	140

Calculated powder diffractogram of Nd2DyIn3Pt2Au for Cu Kα (weighted mean of Kα1 and Kα2), from a cell relaxed with GGA-PBE.
Kinematic intensities with the Lorentz-polarization factor, no thermal factor.

Crystal structure
Cell: 3.980 7.786 7.786 Å, 119.72 90.00 90.00°
Element x y z (fractional)
Nd (0.000, 0.205, 0.795)
Nd (0.000, 0.795, 0.205)
Dy (0.000, 0.384, 0.384)
In (0.500, 0.058, 0.058)
In (0.500, 0.530, 0.792)
In (0.500, 0.792, 0.530)
Pt (0.500, 0.134, 0.459)
Pt (0.500, 0.459, 0.134)
Au (0.000, 0.791, 0.791)

Largest 12 diffraction maxima, by intensity, 2θ = 10–80°:
Position (°2θ)	d_spacing	intensity
34.85	2.574	1000
32.14	2.785	723
40.00	2.254	328
42.03	2.150	284
45.58	1.990	246
64.64	1.442	223
35.21	2.549	189
62.23	1.492	179
40.18	2.244	164
22.81	3.899	156
64.39	1.447	121
25.99	3.429	120

Calculated powder diffractogram of DyTm2In3PtAu2 for Cu Kα (weighted mean of Kα1 and Kα2), from a cell relaxed with GGA-PBE.
Kinematic intensities with the Lorentz-polarization factor, no thermal factor.

Crystal structure
Cell: 3.930 7.693 7.693 Å, 120.12 90.00 90.00°
Element x y z (fractional)
Dy (0.000, 0.000, 0.000)
Tm (0.000, 0.198, 0.599)
Tm (0.000, 0.599, 0.198)
In (0.500, 0.341, 0.341)
In (0.500, 0.598, 0.856)
In (0.500, 0.856, 0.598)
Pt (0.000, 0.597, 0.597)
Au (0.500, 0.267, 0.931)
Au (0.500, 0.931, 0.267)

Largest 12 diffraction maxima, by intensity, 2θ = 10–80°:
Position (°2θ)	d_spacing	intensity
35.34	2.540	1000
32.59	2.748	905
40.65	2.219	566
42.66	2.119	423
35.68	2.517	347
63.20	1.471	310
46.20	1.965	269
65.53	1.424	249
23.14	3.844	165
59.71	1.549	153
65.64	1.422	121
26.33	3.384	113

Calculated powder diffractogram of Dy2TmIn3PtAu2 for Cu Kα (weighted mean of Kα1 and Kα2), from a cell relaxed with GGA-PBE.
Kinematic intensities with the Lorentz-polarization factor, no thermal factor.

Crystal structure
Cell: 3.944 7.698 7.698 Å, 119.87 90.00 90.00°
Element x y z (fractional)
Dy (0.000, 0.201, 0.799)
Dy (0.000, 0.799, 0.201)
Tm (0.000, 0.399, 0.399)
In (0.500, 0.056, 0.056)
In (0.500, 0.542, 0.798)
In (0.500, 0.798, 0.542)
Pt (0.000, 0.797, 0.797)
Au (0.500, 0.135, 0.465)
Au (0.500, 0.465, 0.135)

Largest 12 diffraction maxima, by intensity, 2θ = 10–80°:
Position (°2θ)	d_spacing	intensity
35.24	2.547	1000
32.49	2.755	893
40.57	2.224	561
42.56	2.124	429
35.61	2.521	347
63.00	1.475	308
46.03	1.972	269
65.45	1.426	244
23.09	3.852	169
59.51	1.553	153
65.33	1.428	125
26.25	3.395	114

Calculated powder diffractogram of DySi2IrAu for Cu Kα (weighted mean of Kα1 and Kα2), from a cell relaxed with GGA-PBE.
Kinematic intensities with the Lorentz-polarization factor, no thermal factor.

Crystal structure
Cell: 5.829 5.829 5.829 Å, 137.96 137.96 60.97°
Element x y z (fractional)
Dy (0.000, 0.000, 0.000)
Si (0.384, 0.384, 0.000)
Si (0.616, 0.616, 0.000)
Ir (0.750, 0.250, 0.500)
Au (0.250, 0.750, 0.500)

Largest 12 diffraction maxima, by intensity, 2θ = 10–80°:
Position (°2θ)	d_spacing	intensity
35.22	2.548	1000
43.27	2.091	337
74.15	1.279	236
17.66	5.023	207
57.34	1.607	199
35.75	2.512	189
63.89	1.457	164
34.31	2.614	130
23.04	3.860	127
47.50	1.914	113
62.86	1.478	112
74.47	1.274	93

Calculated powder diffractogram of La2DySi4Au4 for Cu Kα (weighted mean of Kα1 and Kα2), from a cell relaxed with GGA-PBE.
Kinematic intensities with the Lorentz-polarization factor, no thermal factor.

Crystal structure
Cell: 12.982 12.982 12.982 Å, 161.09 160.82 27.06°
Element x y z (fractional)
La (0.147, 0.147, 0.000)
La (0.853, 0.853, 0.000)
Dy (0.500, 0.000, 0.500)
Si (0.046, 0.546, 0.500)
Si (0.309, 0.309, 0.000)
Si (0.691, 0.691, 0.000)
Si (0.954, 0.454, 0.500)
Au (0.250, 0.750, 0.500)
Au (0.408, 0.408, 0.000)
Au (0.592, 0.592, 0.000)
Au (0.750, 0.250, 0.500)

Largest 12 diffraction maxima, by intensity, 2θ = 10–80°:
Position (°2θ)	d_spacing	intensity
32.72	2.737	1000
32.51	2.754	237
41.76	2.163	200
42.38	2.133	196
44.70	2.027	139
27.37	3.258	137
61.01	1.519	131
66.82	1.400	126
53.90	1.701	113
70.54	1.335	111
71.42	1.321	107
20.83	4.264	107

Calculated powder diffractogram of DyMg2PdAu4 for Cu Kα (weighted mean of Kα1 and Kα2), from a cell relaxed with GGA-PBE.
Kinematic intensities with the Lorentz-polarization factor, no thermal factor.

Crystal structure
Cell: 4.753 4.753 6.760 Å, 90.00 90.00 90.00°
Element x y z (fractional)
Dy (0.000, 0.000, 0.000)
Mg (0.000, 0.000, 0.500)
Mg (0.500, 0.500, 0.000)
Pd (0.500, 0.500, 0.500)
Au (0.000, 0.500, 0.261)
Au (0.000, 0.500, 0.739)
Au (0.500, 0.000, 0.261)
Au (0.500, 0.000, 0.739)

Largest 12 diffraction maxima, by intensity, 2θ = 10–80°:
Position (°2θ)	d_spacing	intensity
37.75	2.383	1000
37.86	2.376	503
68.30	1.373	355
26.52	3.361	223
54.62	1.680	175
68.08	1.377	172
22.87	3.888	139
26.37	3.380	109
46.73	1.944	100
61.68	1.504	90
54.28	1.690	85
44.69	2.028	48

Calculated powder diffractogram of Dy3Mg3Pt2Au for Cu Kα (weighted mean of Kα1 and Kα2), from a cell relaxed with GGA-PBE.
Kinematic intensities with the Lorentz-polarization factor, no thermal factor.

Crystal structure
Cell: 7.440 7.440 4.051 Å, 90.00 90.00 120.00°
Element x y z (fractional)
Dy (0.000, 0.584, 0.000)
Dy (0.416, 0.416, 0.000)
Dy (0.584, 0.000, 0.000)
Mg (0.000, 0.251, 0.500)
Mg (0.251, 0.000, 0.500)
Mg (0.749, 0.749, 0.500)
Pt (0.333, 0.667, 0.500)
Pt (0.667, 0.333, 0.500)
Au (0.000, 0.000, 0.000)

Largest 12 diffraction maxima, by intensity, 2θ = 10–80°:
Position (°2θ)	d_spacing	intensity
35.60	2.522	1000
32.68	2.740	582
23.92	3.720	476
42.07	2.148	347
43.35	2.087	336
25.98	3.430	251
67.44	1.389	243
44.74	2.026	212
63.08	1.474	212
56.26	1.635	165
48.97	1.860	160
27.69	3.222	160

Calculated powder diffractogram of DyMg2ZrAu4 for Cu Kα (weighted mean of Kα1 and Kα2), from a cell relaxed with GGA-PBE.
Kinematic intensities with the Lorentz-polarization factor, no thermal factor.

Crystal structure
Cell: 4.827 4.827 6.806 Å, 90.00 90.00 90.00°
Element x y z (fractional)
Dy (0.000, 0.000, 0.000)
Mg (0.000, 0.000, 0.500)
Mg (0.500, 0.500, 0.000)
Zr (0.500, 0.500, 0.500)
Au (0.000, 0.500, 0.263)
Au (0.000, 0.500, 0.737)
Au (0.500, 0.000, 0.263)
Au (0.500, 0.000, 0.737)

Largest 12 diffraction maxima, by intensity, 2θ = 10–80°:
Position (°2θ)	d_spacing	intensity
37.29	2.411	1000
26.13	3.410	241
67.22	1.393	238
53.71	1.707	119
67.33	1.391	112
22.58	3.937	82
46.11	1.969	72
79.55	1.205	71
60.69	1.526	67
53.88	1.702	54
79.41	1.207	39
44.01	2.058	28

Calculated powder diffractogram of NdDyP4Au2 for Cu Kα (weighted mean of Kα1 and Kα2), from a cell relaxed with GGA-PBE.
Kinematic intensities with the Lorentz-polarization factor, no thermal factor.

Crystal structure
Cell: 3.932 3.932 10.098 Å, 90.00 90.00 90.00°
Element x y z (fractional)
Nd (0.000, 0.000, 0.000)
Dy (0.500, 0.500, 0.551)
P (0.000, 0.000, 0.466)
P (0.000, 0.500, 0.769)
P (0.500, 0.000, 0.769)
P (0.500, 0.500, 0.097)
Au (0.000, 0.500, 0.281)
Au (0.500, 0.000, 0.281)

Largest 12 diffraction maxima, by intensity, 2θ = 10–80°:
Position (°2θ)	d_spacing	intensity
36.91	2.436	1000
46.17	1.966	289
24.29	3.664	277
33.43	2.681	270
79.36	1.207	221
35.56	2.525	216
59.60	1.551	194
26.48	3.366	160
56.30	1.634	123
35.09	2.557	116
64.74	1.440	107
54.01	1.698	98